[1]
Theoretical PXRD pattern of CeDy12Y2 for λ = 1.5418 Å (Cu Kα), from the GGA-PBE geometry in Alexandria.
Intensities are scaled so that the largest is 100.

Main lines, low angle first (2θ = 10–90°):
30.31 deg, intensity 39; 30.47 deg, intensity 82; 31.22 deg, intensity 65; 32.02 deg, intensity 100; 32.42 deg, intensity 42; 32.55 deg, intensity 92; 33.78 deg, intensity 59; 36.28 deg, intensity 40; 46.21 deg, intensity 31; 61.85 deg, intensity 27

Structure:
Unit cell a=7.111 b=11.181 c=24.186 alpha=90.00 beta=94.26 gamma=90.00
Space group C2/m (No. 12)
Symmetry-distinct sites (fractional):
Ce (0.193, 0.000, 0.000) x4
Dy (0.017, 0.256, 0.073) x8
Dy (0.112, 0.251, 0.444) x8
Dy (0.142, 0.000, 0.576) x4
Dy (0.144, 0.500, 0.574) x4
Dy (0.168, 0.251, 0.671) x8
Dy (0.201, 0.249, 0.800) x8
Dy (0.213, 0.000, 0.865) x4
Dy (0.222, 0.500, 0.865) x4
Y (0.067, 0.000, 0.271) x4
Y (0.068, 0.500, 0.270) x4



[2]
Theoretical PXRD pattern of CeDy6Y2 for λ = 1.5418 Å (Cu Kα), from the GGA-PBE geometry in Alexandria.
Intensities are scaled so that the largest is 100.

Main lines, low angle first (2θ = 10–90°):
28.55 deg, intensity 24; 31.56 deg, intensity 25; 32.71 deg, intensity 100; 43.08 deg, intensity 16; 50.57 deg, intensity 19; 56.94 deg, intensity 21; 60.84 deg, intensity 22; 61.54 deg, intensity 16; 83.55 deg, intensity 9; 87.51 deg, intensity 8

Structure:
Unit cell a=6.248 b=5.669 c=16.555 alpha=90.00 beta=100.87 gamma=90.00
Space group P2_1/m (No. 11)
Symmetry-distinct sites (fractional):
Ce (0.066, 0.250, 0.279) x2
Dy (0.052, 0.750, 0.943) x2
Dy (0.167, 0.250, 0.497) x2
Dy (0.280, 0.750, 0.388) x2
Dy (0.387, 0.750, 0.612) x2
Dy (0.389, 0.250, 0.946) x2
Dy (0.494, 0.750, 0.833) x2
Y (0.170, 0.750, 0.167) x2
Y (0.264, 0.250, 0.721) x2



[3]
Theoretical PXRD pattern of CeDy3Y3 for λ = 1.5418 Å (Cu Kα), from the GGA-PBE geometry in Alexandria.
Intensities are scaled so that the largest is 100.

Main lines, low angle first (2θ = 10–90°):
29.61 deg, intensity 31; 31.47 deg, intensity 42; 31.59 deg, intensity 100; 34.68 deg, intensity 77; 38.63 deg, intensity 16; 51.25 deg, intensity 32; 54.05 deg, intensity 22; 60.08 deg, intensity 15; 61.41 deg, intensity 52; 87.85 deg, intensity 14

Structure:
Unit cell a=6.1753 b=6.1753 c=42.6402 alpha=90.00 beta=90.00 gamma=120.00
Space group R-3 (No. 148, hexagonal axes)
Symmetry-distinct sites (fractional):
Ce (0.0000, 0.0000, 0.1667) x6
Dy (0.0001, 0.3323, 0.6332) x18
Y (0.9999, 0.3332, 0.1002) x18



[4]
Theoretical PXRD pattern of Ce2DyY for λ = 1.5418 Å (Cu Kα), from the GGA-PBE geometry in Alexandria.
Intensities are scaled so that the largest is 100.

Main lines, low angle first (2θ = 10–90°):
31.19 deg, intensity 100; 35.25 deg, intensity 18; 36.61 deg, intensity 32; 51.74 deg, intensity 24; 52.74 deg, intensity 11; 60.75 deg, intensity 15; 62.56 deg, intensity 27; 65.04 deg, intensity 12; 84.60 deg, intensity 12; 86.20 deg, intensity 6

Structure:
Unit cell a=3.471 b=3.471 c=10.183 alpha=90.00 beta=90.00 gamma=90.00
Space group P4/mmm (No. 123)
Symmetry-distinct sites (fractional):
Ce (0.000, 0.000, 0.248) x2
Dy (0.500, 0.500, 0.000) x1
Y (0.500, 0.500, 0.500) x1



[5]
Theoretical PXRD pattern of CeDy2Y5 for λ = 1.5418 Å (Cu Kα), from the GGA-PBE geometry in Alexandria.
Intensities are scaled so that the largest is 100.

Main lines, low angle first (2θ = 10–90°):
30.73 deg, intensity 100; 35.60 deg, intensity 34; 35.71 deg, intensity 17; 51.28 deg, intensity 35; 60.94 deg, intensity 28; 61.08 deg, intensity 14; 64.01 deg, intensity 12; 83.57 deg, intensity 6; 83.70 deg, intensity 11; 86.27 deg, intensity 10

Structure:
Unit cell a=7.132 b=14.269 c=5.029 alpha=90.00 beta=90.00 gamma=90.00
Space group Pbam (No. 55)
Symmetry-distinct sites (fractional):
Ce (0.000, 0.000, 0.000) x2
Dy (0.246, 0.124, 0.500) x4
Y (0.000, 0.250, 0.000) x4
Y (0.000, 0.500, 0.000) x2
Y (0.246, 0.876, 0.500) x4



[6]
Theoretical PXRD pattern of CeDy2Y for λ = 1.5418 Å (Cu Kα), from the GGA-PBE geometry in Alexandria.
Intensities are scaled so that the largest is 100.

Main lines, low angle first (2θ = 10–90°):
29.23 deg, intensity 17; 29.58 deg, intensity 29; 30.99 deg, intensity 71; 31.91 deg, intensity 100; 34.41 deg, intensity 85; 51.61 deg, intensity 38; 54.07 deg, intensity 22; 58.98 deg, intensity 18; 61.44 deg, intensity 48; 87.18 deg, intensity 17

Structure:
Unit cell a=3.5420 b=3.5420 c=34.6025 alpha=90.00 beta=90.00 gamma=120.00
Space group R3m (No. 160, hexagonal axes)
Symmetry-distinct sites (fractional):
Ce (0.0000, 0.0000, 0.0000) x3
Dy (0.0000, 0.0000, 0.2509) x3
Dy (0.0000, 0.0000, 0.4171) x3
Y (0.0000, 0.0000, 0.8343) x3



[7]
Theoretical PXRD pattern of CeDyY for λ = 1.5418 Å (Cu Kα), from the GGA-PBE geometry in Alexandria.
Intensities are scaled so that the largest is 100.

Main lines, low angle first (2θ = 10–90°):
25.70 deg, intensity 17; 31.76 deg, intensity 78; 32.05 deg, intensity 100; 41.52 deg, intensity 28; 45.74 deg, intensity 28; 56.94 deg, intensity 29; 57.12 deg, intensity 19; 63.13 deg, intensity 28; 76.06 deg, intensity 12; 81.53 deg, intensity 14

Structure:
Unit cell a=5.5861 b=5.5861 c=3.4667 alpha=90.00 beta=90.00 gamma=120.00
Space group P-6m2 (No. 187)
Symmetry-distinct sites (fractional):
Ce (0.0000, 0.0000, 0.0000) x1
Dy (0.6667, 0.3333, 0.0000) x1
Y (0.3333, 0.6667, 0.5000) x1



[8]
Theoretical PXRD pattern of CeDy6Y10 for λ = 1.5418 Å (Cu Kα), from the GGA-PBE geometry in Alexandria.
Intensities are scaled so that the largest is 100.

Main lines, low angle first (2θ = 10–90°):
22.52 deg, intensity 10; 31.15 deg, intensity 29; 32.05 deg, intensity 100; 41.06 deg, intensity 10; 45.97 deg, intensity 13; 49.28 deg, intensity 9; 56.54 deg, intensity 8; 57.03 deg, intensity 10; 57.17 deg, intensity 12; 60.01 deg, intensity 12

Structure:
Unit cell a=9.6618 b=9.6618 c=6.8535 alpha=90.00 beta=90.00 gamma=120.00
Space group P-31m (No. 162)
Symmetry-distinct sites (fractional):
Ce (0.0000, 0.0000, 0.0000) x1
Dy (0.0000, 0.3782, 0.8011) x6
Y (0.0000, 0.2731, 0.3147) x6
Y (0.3333, 0.6667, 0.0000) x2
Y (0.3333, 0.6667, 0.5000) x2



[9]
Theoretical PXRD pattern of CeDyY6 for λ = 1.5418 Å (Cu Kα), from the GGA-PBE geometry in Alexandria.
Intensities are scaled so that the largest is 100.

Main lines, low angle first (2θ = 10–90°):
20.77 deg, intensity 25; 27.94 deg, intensity 50; 29.81 deg, intensity 21; 32.30 deg, intensity 100; 32.77 deg, intensity 69; 33.71 deg, intensity 47; 37.66 deg, intensity 18; 51.28 deg, intensity 25; 54.18 deg, intensity 19; 58.78 deg, intensity 20

Structure:
Unit cell a=9.6000 b=9.6000 c=9.9742 alpha=90.00 beta=90.00 gamma=120.00
Space group R-3 (No. 148, hexagonal axes)
Symmetry-distinct sites (fractional):
Ce (0.0000, 0.0000, 0.0000) x3
Dy (0.0000, 0.0000, 0.5000) x3
Y (0.0030, 0.2929, 0.7455) x18



[10]
Theoretical PXRD pattern of CeDy12Y7 for λ = 1.5418 Å (Cu Kα), from the GGA-PBE geometry in Alexandria.
Intensities are scaled so that the largest is 100.

Main lines, low angle first (2θ = 10–90°):
23.04 deg, intensity 32; 29.30 deg, intensity 19; 30.74 deg, intensity 100; 30.92 deg, intensity 28; 31.28 deg, intensity 27; 32.51 deg, intensity 72; 32.77 deg, intensity 48; 34.56 deg, intensity 15; 53.53 deg, intensity 20; 56.90 deg, intensity 16

Structure:
Unit cell a=12.3491 b=12.3491 c=14.8399 alpha=90.00 beta=90.00 gamma=120.00
Space group R-3 (No. 148, hexagonal axes)
Symmetry-distinct sites (fractional):
Ce (0.0000, 0.0000, 0.0000) x3
Dy (0.0222, 0.5855, 0.2130) x18
Dy (0.0425, 0.8563, 0.3110) x18
Y (0.0000, 0.0000, 0.5000) x3
Y (0.0673, 0.2261, 0.9004) x18



[11]
Theoretical PXRD pattern of CeEr5 for λ = 1.5418 Å (Cu Kα), from the GGA-PBE geometry in Alexandria.
Intensities are scaled so that the largest is 100.

Main lines, low angle first (2θ = 10–90°):
31.26 deg, intensity 100; 36.25 deg, intensity 51; 52.20 deg, intensity 36; 62.11 deg, intensity 42; 65.21 deg, intensity 12; 76.95 deg, intensity 6; 85.34 deg, intensity 9; 85.41 deg, intensity 9; 88.12 deg, intensity 8; 88.19 deg, intensity 8

Structure:
Unit cell a=6.066 b=3.508 c=8.582 alpha=90.00 beta=90.00 gamma=90.00
Space group P2/m (No. 10)
Symmetry-distinct sites (fractional):
Ce (0.000, 0.000, 0.000) x1
Er (0.163, 0.500, 0.669) x2
Er (0.332, 0.000, 0.335) x2
Er (0.500, 0.500, 0.000) x1



[12]
Theoretical PXRD pattern of Ce3Er13 for λ = 1.5418 Å (Cu Kα), from the GGA-PBE geometry in Alexandria.
Intensities are scaled so that the largest is 100.

Main lines, low angle first (2θ = 10–90°):
29.18 deg, intensity 24; 31.76 deg, intensity 26; 33.32 deg, intensity 100; 43.67 deg, intensity 16; 51.74 deg, intensity 18; 57.58 deg, intensity 21; 62.00 deg, intensity 21; 62.95 deg, intensity 14; 85.72 deg, intensity 8; 88.84 deg, intensity 8

Structure:
Unit cell a=7.062 b=11.269 c=12.249 alpha=90.00 beta=90.00 gamma=90.00
Space group Amm2 (No. 38)
Symmetry-distinct sites (fractional):
Ce (0.000, 0.000, 0.000) x2
Ce (0.200, 0.000, 0.782) x4
Er (0.000, 0.000, 0.522) x2
Er (0.000, 0.243, 0.182) x4
Er (0.250, 0.245, 0.435) x8
Er (0.252, 0.000, 0.267) x4
Er (0.500, 0.000, 0.016) x2
Er (0.500, 0.000, 0.521) x2
Er (0.500, 0.242, 0.689) x4